1.
Diffraction record for Ga. The X-ray powder pattern is calculated, not measured: it uses DFT lattice parameters and positions (GGA-PBE) and Cu Kα.
Neutral-atom scattering factors, no anomalous dispersion.

Top 6 peaks for 2θ from 10° to 90°, in order of falling intensity:
2theta  I (rel.)
34.7  100
46.1  47
35.3  45
38.6  37
45.0  28
54.3  22

Crystal structure
```
Ga
1.0
1.321 -4.671 0.000
1.321 4.671 0.000
0.000 0.000 3.105
Ga
2
Cartesian
1.321 3.461 2.328
1.321 -3.461 0.776
```

2.
Diffraction record for Na3AsSe4. The X-ray powder pattern is calculated, not measured: it uses DFT lattice parameters and positions (GGA-PBE) and Cu Kα.
Neutral-atom scattering factors, no anomalous dispersion.

Top 6 peaks for 2θ from 10° to 90°, in order of falling intensity:
2theta  I (rel.)
16.1  100
22.1  77
33.9  62
45.0  49
27.9  45
27.1  40

Crystal structure
```
Na3AsSe4
1.0
8.517 0.000 0.000
0.000 10.141 0.000
0.000 0.000 10.361
Na As Se
12 4 16
Cartesian
1.188 2.535 0.513
1.269 5.349 2.797
1.269 9.863 2.797
2.989 0.278 7.977
2.989 4.792 7.977
3.071 7.606 5.694
5.446 2.535 4.667
5.528 5.349 2.384
5.528 9.863 2.384
7.248 0.278 7.564
7.248 4.792 7.564
7.329 7.606 9.847
1.504 2.535 5.245
2.754 7.606 0.065
5.763 2.535 10.296
7.013 7.606 5.116
0.067 7.606 6.886
0.580 2.535 7.414
1.319 5.704 10.206
1.319 9.508 10.206
2.940 0.633 5.026
2.940 4.437 5.026
3.679 7.606 2.233
4.191 2.535 1.705
4.326 7.606 8.655
4.838 2.535 8.128
5.577 5.704 5.335
5.577 9.508 5.335
7.198 0.633 0.154
7.198 4.437 0.154
7.937 7.606 2.947
8.450 2.535 3.475
```